# 1
Diffraction record for DyHg3S4Cl. The X-ray diffraction stick pattern is simulated, not measured: it uses a PBE-relaxed structure and a wavelength of 1.5418 Å.
Intensities are scaled so that the largest is 100.

The 10 most intense peaks (2θ = 15–90°), by angle:
2θ (°)	d/Å	Rel. int.	index
22.04	4.033	30	0 0 2
25.61	3.478	31	1 0 2
25.93	3.437	100	2 0 0
31.63	2.829	44	1 1 2
34.28	2.616	57	2 0 2
41.34	2.184	25	2 1 2
45.54	1.992	17	3 0 2
45.73	1.984	38	2 2 0
51.32	1.780	18	2 2 2
52.63	1.739	21	2 0 4

Structural model:
abc: 7.9363 7.9363 8.0657
angles: 90.00 90.00 120.00
Space group P6_3mc (No. 186)
Symmetry-distinct sites (fractional):
1 Dy 0.0000 0.0000 0.0000 (multiplicity 2)
2 Hg 0.0140 0.5070 0.1780 (multiplicity 6)
3 S 0.1418 0.2835 0.7450 (multiplicity 6)
4 S 0.3333 0.6667 0.0230 (multiplicity 2)
5 Cl 0.3333 0.6667 0.4490 (multiplicity 2)

# 2
Diffraction record for NdTa2N4. The X-ray diffraction stick pattern is simulated, not measured: it uses a PBE-relaxed structure and a wavelength of 1.5418 Å.
Intensities are scaled so that the largest is 100.

The 10 most intense peaks (2θ = 15–90°), by angle:
2θ (°)	d/Å	Rel. int.	index
30.71	2.911	34	1 1 1
30.94	2.890	100	0 2 3
34.18	2.623	46	1 1 2
34.89	2.572	35	0 4 0
39.66	2.273	27	1 3 1
42.49	2.128	32	1 3 2
53.12	1.724	24	1 1 5
59.33	1.558	16	1 3 5
60.12	1.539	17	0 6 3
67.36	1.390	22	2 2 3

Structural model:
abc: 3.171 10.286 10.481
angles: 90.00 90.00 90.00
Space group Cmcm (No. 63)
Symmetry-distinct sites (fractional):
1 Nd 0.000 0.117 0.250 (multiplicity 4)
2 Ta 0.000 0.371 0.066 (multiplicity 8)
3 N 0.000 0.000 0.000 (multiplicity 4)
4 N 0.000 0.265 0.608 (multiplicity 8)
5 N 0.000 0.433 0.250 (multiplicity 4)

# 3
Diffraction record for AcZn2. The X-ray diffraction stick pattern is simulated, not measured: it uses a PBE-relaxed structure and a wavelength of 1.5418 Å.
Intensities are scaled so that the largest is 100.

The 10 most intense peaks (2θ = 15–90°), by angle:
2θ (°)	d/Å	Rel. int.	index
21.79	4.079	34	1 0 1
31.61	2.831	29	1 1 2
31.72	2.821	100	1 2 1
32.28	2.773	41	0 2 2
37.73	2.384	29	2 0 0
39.16	2.300	38	1 0 3
50.48	1.808	24	2 2 2
51.94	1.760	21	1 4 1
62.23	1.492	16	1 3 4
64.37	1.447	17	3 2 1

Structural model:
abc: 4.768 7.810 7.879
angles: 90.00 90.00 90.00
Space group Imma (No. 74)
Symmetry-distinct sites (fractional):
1 Ac 0.000 0.250 0.037 (multiplicity 4)
2 Zn 0.000 0.057 0.666 (multiplicity 8)

# 4
Diffraction record for Ho2Sc2Br2NCl3. The X-ray diffraction stick pattern is simulated, not measured: it uses a PBE-relaxed structure and a wavelength of 1.5418 Å.
Intensities are scaled so that the largest is 100.

The 10 most intense peaks (2θ = 15–90°), by angle:
2θ (°)	d/Å	Rel. int.	index
23.73	3.750	21	0 0 2
23.84	3.732	26	2 0 -2
25.46	3.498	55	1 1 0
32.51	2.754	54	6 0 0
34.25	2.618	100	1 1 -2
36.05	2.491	26	6 0 -2
37.02	2.428	39	5 1 0
47.75	1.905	29	5 1 2
48.13	1.891	32	7 1 -2
61.83	1.501	20	6 2 0

Structural model:
abc: 16.926 3.579 7.681
angles: 90.00 102.49 90.00
Space group C2/m (No. 12)
Symmetry-distinct sites (fractional):
1 Ho 0.002 0.000 0.294 (multiplicity 4)
2 Sc 0.132 0.500 0.565 (multiplicity 4)
3 Br 0.168 0.000 0.835 (multiplicity 4)
4 N 0.000 0.500 0.500 (multiplicity 2)
5 Cl 0.000 0.500 0.000 (multiplicity 2)
6 Cl 0.168 0.000 0.347 (multiplicity 4)

# 5
Diffraction record for PtSe. The X-ray diffraction stick pattern is simulated, not measured: it uses a PBE-relaxed structure and a wavelength of 1.5418 Å.
Intensities are scaled so that the largest is 100.

The 10 most intense peaks (2θ = 15–90°), by angle:
2θ (°)	d/Å	Rel. int.	index
28.72	3.109	69	1 0 2
29.26	3.052	60	2 0 1
29.44	3.034	67	1 2 0
31.66	2.826	38	1 1 2
32.16	2.783	100	1 2 1
45.87	1.978	37	2 2 2
49.29	1.849	39	1 2 3
49.87	1.829	53	3 1 2
50.21	1.817	26	2 3 1
61.14	1.516	24	1 2 4

Structural model:
abc: 6.784 6.784 6.995
angles: 90.00 90.00 90.00
Space group P4_2/m (No. 84)
Symmetry-distinct sites (fractional):
1 Pt 0.000 0.000 0.250 (multiplicity 2)
2 Pt 0.000 0.500 0.000 (multiplicity 2)
3 Pt 0.258 0.527 0.500 (multiplicity 4)
4 Se 0.195 0.307 0.227 (multiplicity 8)

# 6
Diffraction record for Cs3KSb2Au2. The X-ray diffraction stick pattern is simulated, not measured: it uses a PBE-relaxed structure and a wavelength of 1.5418 Å.
Intensities are scaled so that the largest is 100.

The 10 most intense peaks (2θ = 15–90°), by angle:
2θ (°)	d/Å	Rel. int.	index
15.42	5.746	48	1 0 -1
25.35	3.514	54	1 0 -2
26.13	3.410	41	2 0 -1
28.05	3.181	27	0 2 1
28.27	3.156	100	1 1 -2
28.96	3.084	46	2 1 -1
33.32	2.689	69	1 2 1
36.54	2.459	24	0 2 2
47.85	1.901	34	0 2 3
49.14	1.854	25	3 2 0

Structural model:
abc: 6.896 7.224 7.143
angles: 90.00 109.97 90.00
Space group Pm (No. 6)
Symmetry-distinct sites (fractional):
1 Cs 0.000 0.000 0.000 (multiplicity 1)
2 Cs 0.011 0.500 0.317 (multiplicity 1)
3 Cs 0.668 0.500 0.649 (multiplicity 1)
4 K 0.341 0.000 0.674 (multiplicity 1)
5 Sb 0.262 0.500 0.903 (multiplicity 1)
6 Sb 0.733 0.000 0.413 (multiplicity 1)
7 Au 0.507 0.249 0.148 (multiplicity 2)